1.
Simulated powder diffractogram of Mg3Cd for Cu Kα X-rays, from a cell relaxed with PBE.
Lines closer than 0.1° are merged.

Main lines, by intensity (10 to 90 degrees two-theta):
2theta, I (rel.)
34.92, 100
22.08, 69
39.36, 36
68.52, 26
27.56, 20
59.55, 20
45.59, 20
21.03, 19
37.49, 18
42.81, 14

```
data_Mg3Cd
_cell_length_a 4.5779
_cell_length_b 4.5779
_cell_length_c 8.4490
_cell_angle_alpha 90.00
_cell_angle_beta 90.00
_cell_angle_gamma 90.00
_space_group_name_H-M_alt 'P 1'
_space_group_IT_number 1
loop_
_space_group_symop_operation_xyz
'x,y,z'
loop_
_atom_site_label
_atom_site_fract_x
_atom_site_fract_y
_atom_site_fract_z
Mg1 0.0000 0.0000 0.0000
Mg2 0.0000 0.5000 0.2500
Mg3 0.0000 0.5000 0.7500
Mg4 0.5000 0.0000 0.2500
Mg5 0.5000 0.0000 0.7500
Mg6 0.5000 0.5000 0.5000
Cd1 0.0000 0.0000 0.5000
Cd2 0.5000 0.5000 0.0000
```

=====

2.
Simulated powder diffractogram of MgCd2 for Cu Kα X-rays, from a cell relaxed with PBE.
Lines closer than 0.1° are merged.

Main lines, by intensity (10 to 90 degrees two-theta):
2theta, I (rel.)
36.40, 100
37.56, 46
31.26, 33
36.82, 31
18.17, 22
49.05, 18
70.09, 17
66.04, 16
68.32, 16
57.32, 16

```
data_MgCd2
_cell_length_a 4.8826
_cell_length_b 3.3509
_cell_length_c 16.4869
_cell_angle_alpha 90.00
_cell_angle_beta 90.00
_cell_angle_gamma 90.00
_space_group_name_H-M_alt 'P 1'
_space_group_IT_number 1
loop_
_space_group_symop_operation_xyz
'x,y,z'
loop_
_atom_site_label
_atom_site_fract_x
_atom_site_fract_y
_atom_site_fract_z
Mg1 0.0000 0.0000 0.0000
Mg2 0.0000 0.0000 0.3301
Mg3 0.0000 0.5000 0.5000
Mg4 0.0000 0.5000 0.8301
Cd1 0.0000 0.0000 0.6673
Cd2 0.0000 0.5000 0.1673
Cd3 0.5000 0.0000 0.1095
Cd4 0.5000 0.0000 0.4433
Cd5 0.5000 0.0000 0.7800
Cd6 0.5000 0.5000 0.2800
Cd7 0.5000 0.5000 0.6095
Cd8 0.5000 0.5000 0.9433
```

=====

3.
Simulated powder diffractogram of Mg14MnCd for Cu Kα X-rays, from a cell relaxed with PBE.
Lines closer than 0.1° are merged.

Main lines, by intensity (10 to 90 degrees two-theta):
2theta, I (rel.)
37.38, 100
32.83, 27
35.19, 26
18.44, 20
70.23, 18
64.59, 18
48.89, 17
58.60, 17
71.60, 13
16.24, 13

```
data_Mg14MnCd
_cell_length_a 10.2002
_cell_length_b 6.3016
_cell_length_c 6.3016
_cell_angle_alpha 59.98
_cell_angle_beta 90.00
_cell_angle_gamma 90.00
_space_group_name_H-M_alt 'P 1'
_space_group_IT_number 1
loop_
_space_group_symop_operation_xyz
'x,y,z'
loop_
_atom_site_label
_atom_site_fract_x
_atom_site_fract_y
_atom_site_fract_z
Mg1 0.0000 0.9998 0.9998
Mg2 0.0000 0.0001 0.5008
Mg3 0.0000 0.5000 0.5000
Mg4 0.0000 0.5008 0.0001
Mg5 0.2506 0.1666 0.1666
Mg6 0.2539 0.6641 0.6641
Mg7 0.2568 0.1723 0.6647
Mg8 0.2568 0.6647 0.1723
Mg9 0.5000 0.5012 0.9974
Mg10 0.5000 0.9974 0.5012
Mg11 0.7432 0.1723 0.6647
Mg12 0.7432 0.6647 0.1723
Mg13 0.7461 0.6641 0.6641
Mg14 0.7494 0.1666 0.1666
Mn1 0.5000 0.5023 0.5023
Cd1 0.5000 0.0000 0.0000
```

=====

4.
Simulated powder diffractogram of Mg14MnCd for Cu Kα X-rays, from a cell relaxed with PBE.
Lines closer than 0.1° are merged.

Main lines, by intensity (10 to 90 degrees two-theta):
2theta, I (rel.)
37.67, 100
16.27, 31
32.88, 28
36.19, 24
24.25, 19
70.94, 18
66.06, 17
58.71, 17
49.69, 16
71.88, 13

```
data_Mg14MnCd
_cell_length_a 6.2905
_cell_length_b 6.2905
_cell_length_c 9.9296
_cell_angle_alpha 90.00
_cell_angle_beta 90.00
_cell_angle_gamma 120.00
_space_group_name_H-M_alt 'P 1'
_space_group_IT_number 1
loop_
_space_group_symop_operation_xyz
'x,y,z'
loop_
_atom_site_label
_atom_site_fract_x
_atom_site_fract_y
_atom_site_fract_z
Mg1 0.0000 0.0000 0.2504
Mg2 0.0000 0.0000 0.7496
Mg3 0.0151 0.5076 0.2394
Mg4 0.0151 0.5076 0.7606
Mg5 0.3320 0.1660 0.0000
Mg6 0.3340 0.1670 0.5000
Mg7 0.4924 0.5076 0.2394
Mg8 0.4924 0.5076 0.7606
Mg9 0.4924 0.9849 0.2394
Mg10 0.4924 0.9849 0.7606
Mg11 0.8330 0.1670 0.5000
Mg12 0.8330 0.6660 0.5000
Mg13 0.8340 0.1660 0.0000
Mg14 0.8340 0.6680 0.0000
Mn1 0.3333 0.6667 0.0000
Cd1 0.3333 0.6667 0.5000
```

=====

Which formula does entry 2 have? MgCd2